1.
Diffraction record for AlCuBr2Cl2. The X-ray powder pattern is computed, not measured: it uses a DFT-relaxed cell (GGA-PBE, OQMD) and copper Kα.

Principal peaks in the range 15° ≤ 2θ ≤ 90°, most intense first:
- d = 3.218 Å, I = 100, (2 2 -1)
- d = 3.232 Å, I = 98, (0 2 1)
- d = 5.068 Å, I = 60, (1 1 -1)
- d = 5.147 Å, I = 44, (1 1 0)
- d = 1.916 Å, I = 37, (2 4 -2)
- d = 1.933 Å, I = 34, (2 4 0)
- d = 2.096 Å, I = 31, (0 0 2)
- d = 4.194 Å, I = 24, (0 0 1)
- d = 2.082 Å, I = 23, (4 0 -2)
- d = 1.567 Å, I = 21, (0 6 1)
- d = 2.534 Å, I = 17, (0 4 0)
- d = 2.925 Å, I = 15, (2 0 -2)

Crystal structure
```
data_AlCuBr2Cl2
_cell_length_a 8.330
_cell_length_b 10.142
_cell_length_c 5.848
_cell_angle_alpha 90.00
_cell_angle_beta 134.18
_cell_angle_gamma 90.00
_space_group_name_H-M_alt 'C 1 2 1'
_space_group_IT_number 5
_space_group_name_Hall 'C 2y'
loop_
_atom_site_label
_atom_site_type_symbol
_atom_site_fract_x
_atom_site_fract_y
_atom_site_fract_z
_atom_site_occupancy
Al1 Al 0.000 0.000 0.000 1
Cu1 Cu 0.000 0.242 0.500 1
Br1 Br 0.233 0.872 0.461 1
Cl1 Cl 0.202 0.121 0.974 1
```


2.
Diffraction record for AlCuBr2Cl2. The X-ray powder pattern is computed, not measured: it uses a DFT-relaxed cell (GGA-PBE, OQMD) and copper Kα.

Principal peaks in the range 15° ≤ 2θ ≤ 90°, most intense first:
- d = 5.033 Å, I = 100, (1 0 -1)
- d = 3.205 Å, I = 99, (1 -1 1)
- d = 3.272 Å, I = 99, (1 1 0)
- d = 3.230 Å, I = 93, (-1 1 1)
- d = 3.146 Å, I = 91, (1 1 -2)
- d = 5.014 Å, I = 82, (0 1 -1)
- d = 2.073 Å, I = 47, (2 2 -2)
- d = 2.085 Å, I = 42, (2 -2 0)
- d = 2.940 Å, I = 40, (2 0 -1)
- d = 1.895 Å, I = 37, (2 0 -3)
- d = 1.939 Å, I = 36, (2 0 1)
- d = 1.952 Å, I = 36, (0 2 1)

Crystal structure
```
data_AlCuBr2Cl2
_cell_length_a 5.876
_cell_length_b 5.890
_cell_length_c 6.417
_cell_angle_alpha 115.47
_cell_angle_beta 115.98
_cell_angle_gamma 90.26
_space_group_name_H-M_alt 'P 1'
_space_group_IT_number 1
_space_group_name_Hall 'P 1'
loop_
_atom_site_label
_atom_site_type_symbol
_atom_site_fract_x
_atom_site_fract_y
_atom_site_fract_z
_atom_site_occupancy
Al1 Al 0.000 0.000 0.000 1
Cu1 Cu 0.243 0.756 0.500 1
Br1 Br 0.642 0.648 0.752 1
Br2 Br 0.892 0.360 0.250 1
Cl1 Cl 0.106 0.088 0.753 1
Cl2 Cl 0.330 0.899 0.245 1
```


3.
Diffraction record for AlCuBr3Cl. The X-ray powder pattern is computed, not measured: it uses a DFT-relaxed cell (GGA-PBE, OQMD) and copper Kα.

Principal peaks in the range 15° ≤ 2θ ≤ 90°, most intense first:
- d = 3.304 Å, I = 100, (1 -1 1)
- d = 3.252 Å, I = 98, (1 1 -2)
- d = 5.135 Å, I = 39, (1 0 -1)
- d = 2.129 Å, I = 29, (2 -2 0)
- d = 5.212 Å, I = 28, (0 1 0)
- d = 2.123 Å, I = 21, (2 2 -2)
- d = 5.195 Å, I = 20, (0 1 -1)
- d = 1.975 Å, I = 19, (2 0 1)
- d = 1.959 Å, I = 18, (0 2 1)
- d = 1.954 Å, I = 18, (0 2 -3)
- d = 1.931 Å, I = 17, (2 0 -3)
- d = 3.013 Å, I = 14, (0 2 -1)

Crystal structure
```
data_AlCuBr3Cl
_cell_length_a 6.002
_cell_length_b 6.027
_cell_length_c 6.614
_cell_angle_alpha 116.91
_cell_angle_beta 115.77
_cell_angle_gamma 90.16
_space_group_name_H-M_alt 'P 1'
_space_group_IT_number 1
_space_group_name_Hall 'P 1'
loop_
_atom_site_label
_atom_site_type_symbol
_atom_site_fract_x
_atom_site_fract_y
_atom_site_fract_z
_atom_site_occupancy
Al1 Al 0.000 0.000 0.000 1
Cu1 Cu 0.754 0.248 0.490 1
Br1 Br 0.098 0.642 0.743 1
Br2 Br 0.359 0.344 0.244 1
Br3 Br 0.657 0.107 0.746 1
Cl1 Cl 0.896 0.921 0.241 1
```


4.
Diffraction record for Nd3AlBr2Cl. The X-ray powder pattern is computed, not measured: it uses a DFT-relaxed cell (GGA-PBE, OQMD) and copper Kα.

Principal peaks in the range 15° ≤ 2θ ≤ 90°, most intense first:
- d = 2.978 Å, I = 100, (2 0 0)
- d = 2.119 Å, I = 75, (2 0 2)
- d = 3.016 Å, I = 52, (0 0 2)
- d = 1.726 Å, I = 39, (2 2 2)
- d = 2.105 Å, I = 37, (2 2 0)
- d = 4.211 Å, I = 33, (1 1 0)
- d = 3.453 Å, I = 27, (1 1 1)
- d = 4.238 Å, I = 27, (1 0 1)
- d = 1.218 Å, I = 25, (4 2 2)
- d = 1.345 Å, I = 17, (2 0 4)
- d = 1.335 Å, I = 17, (4 0 2)
- d = 1.332 Å, I = 17, (4 2 0)

Crystal structure
```
data_Nd3AlBr2Cl
_cell_length_a 5.955
_cell_length_b 5.955
_cell_length_c 6.031
_cell_angle_alpha 90.00
_cell_angle_beta 90.00
_cell_angle_gamma 90.00
_space_group_name_H-M_alt 'P 4/m m m'
_space_group_IT_number 123
_space_group_name_Hall '-P 4 2'
loop_
_atom_site_label
_atom_site_type_symbol
_atom_site_fract_x
_atom_site_fract_y
_atom_site_fract_z
_atom_site_occupancy
Nd1 Nd 0.000 0.000 0.000 1
Nd2 Nd 0.000 0.500 0.500 1
Al1 Al 0.000 0.000 0.500 1
Br1 Br 0.000 0.500 0.000 1
Cl1 Cl 0.500 0.500 0.500 1
```


5.
Diffraction record for Pr3AlBrCl2. The X-ray powder pattern is computed, not measured: it uses a DFT-relaxed cell (GGA-PBE, OQMD) and copper Kα.

Principal peaks in the range 15° ≤ 2θ ≤ 90°, most intense first:
- d = 2.999 Å, I = 100, (2 0 0)
- d = 2.105 Å, I = 72, (2 0 2)
- d = 4.210 Å, I = 49, (1 0 1)
- d = 2.956 Å, I = 48, (0 0 2)
- d = 3.446 Å, I = 44, (1 1 1)
- d = 1.723 Å, I = 38, (2 2 2)
- d = 2.121 Å, I = 37, (2 2 0)
- d = 1.221 Å, I = 24, (4 2 2)
- d = 2.443 Å, I = 24, (2 1 1)
- d = 1.341 Å, I = 16, (4 2 0)
- d = 1.337 Å, I = 16, (4 0 2)
- d = 1.806 Å, I = 16, (3 1 1)

Crystal structure
```
data_Pr3AlBrCl2
_cell_length_a 5.998
_cell_length_b 5.998
_cell_length_c 5.911
_cell_angle_alpha 90.00
_cell_angle_beta 90.00
_cell_angle_gamma 90.00
_space_group_name_H-M_alt 'P 4/m m m'
_space_group_IT_number 123
_space_group_name_Hall '-P 4 2'
loop_
_atom_site_label
_atom_site_type_symbol
_atom_site_fract_x
_atom_site_fract_y
_atom_site_fract_z
_atom_site_occupancy
Pr1 Pr 0.000 0.000 0.000 1
Pr2 Pr 0.000 0.500 0.500 1
Al1 Al 0.000 0.000 0.500 1
Br1 Br 0.500 0.500 0.500 1
Cl1 Cl 0.000 0.500 0.000 1
```


6.
Diffraction record for Sm3AlBr2Cl. The X-ray powder pattern is computed, not measured: it uses a DFT-relaxed cell (GGA-PBE, OQMD) and copper Kα.

Principal peaks in the range 15° ≤ 2θ ≤ 90°, most intense first:
- d = 2.939 Å, I = 100, (2 0 0)
- d = 2.092 Å, I = 75, (2 0 2)
- d = 2.978 Å, I = 52, (0 0 2)
- d = 1.704 Å, I = 39, (2 2 2)
- d = 2.078 Å, I = 37, (2 2 0)
- d = 4.156 Å, I = 33, (1 1 0)
- d = 3.408 Å, I = 30, (1 1 1)
- d = 4.183 Å, I = 27, (1 0 1)
- d = 1.202 Å, I = 25, (4 2 2)
- d = 5.878 Å, I = 23, (1 0 0)
- d = 1.328 Å, I = 17, (2 0 4)
- d = 1.318 Å, I = 17, (4 0 2)

Crystal structure
```
data_Sm3AlBr2Cl
_cell_length_a 5.878
_cell_length_b 5.878
_cell_length_c 5.955
_cell_angle_alpha 90.00
_cell_angle_beta 90.00
_cell_angle_gamma 90.00
_space_group_name_H-M_alt 'P 4/m m m'
_space_group_IT_number 123
_space_group_name_Hall '-P 4 2'
loop_
_atom_site_label
_atom_site_type_symbol
_atom_site_fract_x
_atom_site_fract_y
_atom_site_fract_z
_atom_site_occupancy
Sm1 Sm 0.000 0.000 0.000 1
Sm2 Sm 0.000 0.500 0.500 1
Al1 Al 0.000 0.000 0.500 1
Br1 Br 0.000 0.500 0.000 1
Cl1 Cl 0.500 0.500 0.500 1
```


7.
Diffraction record for AlCuBr6. The X-ray powder pattern is computed, not measured: it uses a DFT-relaxed cell (GGA-PBE, OQMD) and copper Kα.

Principal peaks in the range 15° ≤ 2θ ≤ 90°, most intense first:
- d = 2.869 Å, I = 100, (2 2 2)
- d = 2.485 Å, I = 60, (4 0 0)
- d = 1.757 Å, I = 41, (4 4 0)
- d = 1.498 Å, I = 40, (6 2 2)
- d = 1.111 Å, I = 19, (8 4 0)
- d = 1.140 Å, I = 17, (6 6 2)
- d = 4.970 Å, I = 16, (2 0 0)
- d = 1.435 Å, I = 14, (4 4 4)
- d = 5.739 Å, I = 12, (1 1 1)
- d = 2.223 Å, I = 7, (4 2 0)
- d = 1.242 Å, I = 6, (8 0 0)
- d = 2.997 Å, I = 6, (3 1 1)

Crystal structure
```
data_AlCuBr6
_cell_length_a 9.940
_cell_length_b 9.940
_cell_length_c 9.940
_cell_angle_alpha 90.00
_cell_angle_beta 90.00
_cell_angle_gamma 90.00
_space_group_name_H-M_alt 'F -4 3 m'
_space_group_IT_number 216
_space_group_name_Hall 'F -4 2 3'
loop_
_atom_site_label
_atom_site_type_symbol
_atom_site_fract_x
_atom_site_fract_y
_atom_site_fract_z
_atom_site_occupancy
Al1 Al 0.000 0.000 0.000 1
Cu1 Cu 0.250 0.250 0.250 1
Br1 Br 0.000 0.000 0.247 1
```


8.
Diffraction record for AlCuI2Br2. The X-ray powder pattern is computed, not measured: it uses a DFT-relaxed cell (GGA-PBE, OQMD) and copper Kα.

Principal peaks in the range 15° ≤ 2θ ≤ 90°, most intense first:
- d = 3.500 Å, I = 100, (1 1 0)
- d = 3.450 Å, I = 96, (1 -1 1)
- d = 3.420 Å, I = 94, (-1 1 1)
- d = 3.364 Å, I = 89, (1 1 -2)
- d = 3.149 Å, I = 79, (0 2 -1)
- d = 5.389 Å, I = 39, (0 1 -1)
- d = 2.224 Å, I = 38, (2 2 -2)
- d = 2.229 Å, I = 37, (2 -2 0)
- d = 5.352 Å, I = 35, (1 0 -1)
- d = 2.071 Å, I = 34, (0 2 1)
- d = 2.082 Å, I = 33, (2 0 1)
- d = 2.694 Å, I = 31, (0 0 2)

Crystal structure
```
data_AlCuI2Br2
_cell_length_a 6.294
_cell_length_b 6.306
_cell_length_c 6.853
_cell_angle_alpha 116.21
_cell_angle_beta 115.54
_cell_angle_gamma 90.10
_space_group_name_H-M_alt 'P 1'
_space_group_IT_number 1
_space_group_name_Hall 'P 1'
loop_
_atom_site_label
_atom_site_type_symbol
_atom_site_fract_x
_atom_site_fract_y
_atom_site_fract_z
_atom_site_occupancy
Al1 Al 0.000 0.000 0.000 1
Cu1 Cu 0.245 0.766 0.500 1
I1 I 0.356 0.375 0.254 1
I2 I 0.631 0.114 0.743 1
Br1 Br 0.105 0.671 0.751 1
Br2 Br 0.908 0.902 0.252 1
```


9.
Diffraction record for AlCuIBr3. The X-ray powder pattern is computed, not measured: it uses a DFT-relaxed cell (GGA-PBE, OQMD) and copper Kα.

Principal peaks in the range 15° ≤ 2θ ≤ 90°, most intense first:
- d = 3.332 Å, I = 100, (1 1 2)
- d = 3.422 Å, I = 55, (1 1 0)
- d = 3.393 Å, I = 52, (1 -1 1)
- d = 5.287 Å, I = 34, (0 1 1)
- d = 2.176 Å, I = 24, (2 -2 0)
- d = 3.065 Å, I = 23, (2 0 1)
- d = 1.822 Å, I = 22, (3 -1 2)
- d = 2.188 Å, I = 21, (2 2 2)
- d = 3.108 Å, I = 20, (0 2 1)
- d = 2.049 Å, I = 18, (0 2 -1)
- d = 2.012 Å, I = 18, (2 0 -1)
- d = 1.997 Å, I = 18, (2 0 3)

Crystal structure
```
data_AlCuIBr3
_cell_length_a 6.129
_cell_length_b 6.218
_cell_length_c 6.779
_cell_angle_alpha 64.18
_cell_angle_beta 63.35
_cell_angle_gamma 89.69
_space_group_name_H-M_alt 'P 1'
_space_group_IT_number 1
_space_group_name_Hall 'P 1'
loop_
_atom_site_label
_atom_site_type_symbol
_atom_site_fract_x
_atom_site_fract_y
_atom_site_fract_z
_atom_site_occupancy
Al1 Al 0.000 0.000 0.000 1
Cu1 Cu 0.258 0.760 0.494 1
I1 I 0.372 0.372 0.742 1
Br1 Br 0.111 0.667 0.245 1
Br2 Br 0.645 0.096 0.248 1
Br3 Br 0.909 0.898 0.746 1
```


10.
Diffraction record for Nd3AlBrF2. The X-ray powder pattern is computed, not measured: it uses a DFT-relaxed cell (GGA-PBE, OQMD) and copper Kα.

Principal peaks in the range 15° ≤ 2θ ≤ 90°, most intense first:
- d = 2.892 Å, I = 100, (2 0 0)
- d = 1.977 Å, I = 66, (2 0 2)
- d = 3.265 Å, I = 64, (1 1 1)
- d = 3.955 Å, I = 52, (1 0 1)
- d = 2.709 Å, I = 42, (0 0 2)
- d = 2.045 Å, I = 37, (2 2 0)
- d = 1.632 Å, I = 35, (2 2 2)
- d = 5.419 Å, I = 32, (0 0 1)
- d = 2.335 Å, I = 26, (2 1 1)
- d = 1.167 Å, I = 23, (4 2 2)
- d = 1.733 Å, I = 22, (3 1 1)
- d = 2.552 Å, I = 19, (2 0 1)

Crystal structure
```
data_Nd3AlBrF2
_cell_length_a 5.785
_cell_length_b 5.785
_cell_length_c 5.419
_cell_angle_alpha 90.00
_cell_angle_beta 90.00
_cell_angle_gamma 90.00
_space_group_name_H-M_alt 'P 4/m m m'
_space_group_IT_number 123
_space_group_name_Hall '-P 4 2'
loop_
_atom_site_label
_atom_site_type_symbol
_atom_site_fract_x
_atom_site_fract_y
_atom_site_fract_z
_atom_site_occupancy
Nd1 Nd 0.000 0.000 0.000 1
Nd2 Nd 0.000 0.500 0.500 1
Al1 Al 0.000 0.000 0.500 1
Br1 Br 0.500 0.500 0.500 1
F1 F 0.000 0.500 0.000 1
```


11.
Diffraction record for Pr2AlGaBr2. The X-ray powder pattern is computed, not measured: it uses a DFT-relaxed cell (GGA-PBE, OQMD) and copper Kα.

Principal peaks in the range 15° ≤ 2θ ≤ 90°, most intense first:
- d = 2.702 Å, I = 100, (1 0 3)
- d = 3.144 Å, I = 59, (1 0 2)
- d = 2.144 Å, I = 48, (1 1 0)
- d = 3.543 Å, I = 33, (1 0 1)
- d = 1.680 Å, I = 24, (0 2 3)
- d = 1.994 Å, I = 23, (0 1 5)
- d = 1.322 Å, I = 21, (2 1 3)
- d = 1.451 Å, I = 20, (1 1 6)
- d = 3.713 Å, I = 17, (1 0 0)
- d = 1.238 Å, I = 12, (3 0 0)
- d = 1.771 Å, I = 11, (0 2 2)
- d = 1.366 Å, I = 9, (2 1 2)

Crystal structure
```
data_Pr2AlGaBr2
_cell_length_a 4.2878
_cell_length_b 4.2878
_cell_length_c 11.8204
_cell_angle_alpha 90.00
_cell_angle_beta 90.00
_cell_angle_gamma 120.00
_space_group_name_H-M_alt 'P 3 m 1'
_space_group_IT_number 156
_space_group_name_Hall 'P 3 -2"'
loop_
_atom_site_label
_atom_site_type_symbol
_atom_site_fract_x
_atom_site_fract_y
_atom_site_fract_z
_atom_site_occupancy
Pr1 Pr 0.0000 0.0000 0.0000 1
Pr2 Pr 0.0000 0.0000 0.3663 1
Al1 Al 0.6667 0.3333 0.1670 1
Ga1 Ga 0.3333 0.6667 0.2046 1
Br1 Br 0.3333 0.6667 0.8478 1
Br2 Br 0.6667 0.3333 0.5196 1
```


12.
Diffraction record for SmGdAl2Br2. The X-ray powder pattern is computed, not measured: it uses a DFT-relaxed cell (GGA-PBE, OQMD) and copper Kα.

Principal peaks in the range 15° ≤ 2θ ≤ 90°, most intense first:
- d = 2.640 Å, I = 100, (1 0 3)
- d = 3.090 Å, I = 60, (1 0 2)
- d = 2.126 Å, I = 47, (1 1 0)
- d = 3.503 Å, I = 44, (1 0 1)
- d = 5.682 Å, I = 37, (0 0 2)
- d = 3.682 Å, I = 29, (1 0 0)
- d = 1.934 Å, I = 27, (0 1 5)
- d = 1.656 Å, I = 24, (2 0 3)
- d = 1.306 Å, I = 22, (1 2 3)
- d = 1.414 Å, I = 17, (1 1 6)
- d = 1.991 Å, I = 15, (1 1 2)
- d = 1.751 Å, I = 11, (0 2 2)

Crystal structure
```
data_SmGdAl2Br2
_cell_length_a 4.2514
_cell_length_b 4.2514
_cell_length_c 11.3636
_cell_angle_alpha 90.00
_cell_angle_beta 90.00
_cell_angle_gamma 120.00
_space_group_name_H-M_alt 'P 3 m 1'
_space_group_IT_number 156
_space_group_name_Hall 'P 3 -2"'
loop_
_atom_site_label
_atom_site_type_symbol
_atom_site_fract_x
_atom_site_fract_y
_atom_site_fract_z
_atom_site_occupancy
Sm1 Sm 0.0000 0.0000 0.0000 1
Gd1 Gd 0.0000 0.0000 0.6286 1
Al1 Al 0.3333 0.6667 0.8310 1
Al2 Al 0.6667 0.3333 0.7942 1
Br1 Br 0.3333 0.6667 0.4767 1
Br2 Br 0.6667 0.3333 0.1555 1
```